(1)
For Ba3BBr3O3, a crystal structure in Alexandria, relaxed with PBE gives the computed powder diffractogram in this record (Cu Kα, 1.54184 Å).

Peak list (12 most intense, 5° ≤ 2θ ≤ 70°, in order of rising 2θ)
- 4.200 Å, intensity 35
- 3.425 Å, intensity 37
- 3.320 Å, intensity 52
- 3.227 Å, intensity 42
- 3.133 Å, intensity 71
- 2.993 Å, intensity 46
- 2.980 Å, intensity 21
- 2.977 Å, intensity 100
- 2.931 Å, intensity 50
- 2.894 Å, intensity 56
- 2.804 Å, intensity 76
- 2.072 Å, intensity 24

Structure:
```
Ba3BBr3O3
1.0
9.453 0.000 0.000
-4.236 8.503 0.000
-0.528 -2.462 12.912
Ba B Br O
12 4 12 12
Direct
0.003 0.175 0.267
0.007 0.642 0.395
0.044 0.266 0.920
0.419 0.242 0.518
0.472 0.613 0.748
0.491 0.169 0.857
0.509 0.831 0.143
0.528 0.387 0.252
0.581 0.758 0.482
0.956 0.734 0.080
0.993 0.358 0.605
0.997 0.825 0.733
0.243 0.424 0.447
0.259 0.262 0.756
0.741 0.738 0.244
0.757 0.576 0.553
0.000 0.000 0.500
0.139 0.518 0.151
0.205 0.122 0.077
0.266 0.941 0.288
0.298 0.800 0.907
0.314 0.867 0.599
0.500 0.500 0.000
0.686 0.133 0.401
0.702 0.200 0.093
0.734 0.059 0.712
0.795 0.878 0.923
0.861 0.482 0.849
0.098 0.425 0.423
0.188 0.362 0.758
0.195 0.129 0.804
0.298 0.346 0.372
0.325 0.487 0.546
0.406 0.303 0.717
0.594 0.697 0.283
0.675 0.513 0.454
0.702 0.654 0.628
0.805 0.871 0.196
0.812 0.638 0.242
0.902 0.575 0.577
```

(2)
For Ba5B3BrO9, a crystal structure in Alexandria, relaxed with PBE gives the computed powder diffractogram in this record (Cu Kα, 1.54184 Å).

Peak list (12 most intense, 5° ≤ 2θ ≤ 70°, in order of rising 2θ)
- 3.975 Å, intensity 55
- 3.684 Å, intensity 31
- 3.230 Å, intensity 100
- 3.179 Å, intensity 38
- 3.082 Å, intensity 37
- 3.034 Å, intensity 80
- 2.901 Å, intensity 52
- 2.882 Å, intensity 43
- 2.738 Å, intensity 44
- 2.364 Å, intensity 30
- 1.918 Å, intensity 44
- 1.878 Å, intensity 29

Structure:
```
Ba5B3BrO9
1.0
5.321 -7.563 0.000
5.321 7.563 0.000
0.000 0.000 8.131
Ba B Br O
10 6 2 18
Direct
0.139 0.861 0.250
0.139 0.861 0.750
0.229 0.493 0.567
0.259 0.259 0.000
0.493 0.229 0.433
0.507 0.771 0.933
0.741 0.741 0.500
0.771 0.507 0.067
0.861 0.139 0.250
0.861 0.139 0.750
0.098 0.516 0.970
0.124 0.124 0.500
0.484 0.902 0.530
0.516 0.098 0.030
0.876 0.876 0.000
0.902 0.484 0.470
0.445 0.555 0.250
0.555 0.445 0.750
0.007 0.630 0.511
0.009 0.009 0.000
0.068 0.649 0.013
0.184 0.187 0.651
0.187 0.184 0.349
0.230 0.527 0.882
0.351 0.932 0.487
0.370 0.993 0.989
0.473 0.770 0.618
0.527 0.230 0.118
0.630 0.007 0.489
0.649 0.068 0.987
0.770 0.473 0.382
0.813 0.816 0.849
0.816 0.813 0.151
0.932 0.351 0.513
0.991 0.991 0.500
0.993 0.370 0.011
```

(3)
For Ba3B3Pb2BrO9, a crystal structure in Alexandria, relaxed with PBE gives the computed powder diffractogram in this record (Cu Kα, 1.54184 Å).

Peak list (12 most intense, 5° ≤ 2θ ≤ 70°, in order of rising 2θ)
- 4.478 Å, intensity 44
- 3.874 Å, intensity 64
- 3.468 Å, intensity 48
- 3.245 Å, intensity 100
- 3.191 Å, intensity 43
- 2.993 Å, intensity 91
- 2.961 Å, intensity 42
- 2.871 Å, intensity 53
- 2.815 Å, intensity 60
- 2.645 Å, intensity 58
- 2.545 Å, intensity 43
- 1.905 Å, intensity 45

Structure:
```
Ba3B3Pb2BrO9
1.0
5.358 -7.241 0.000
5.358 7.241 0.000
0.000 0.000 8.157
Ba B Pb Br O
6 6 4 2 18
Direct
0.147 0.853 0.750
0.152 0.848 0.250
0.260 0.260 0.500
0.740 0.740 0.000
0.848 0.152 0.750
0.853 0.147 0.250
0.072 0.505 0.458
0.120 0.120 0.000
0.495 0.928 0.042
0.505 0.072 0.542
0.880 0.880 0.500
0.928 0.495 0.958
0.227 0.468 0.082
0.468 0.227 0.918
0.532 0.773 0.418
0.773 0.532 0.582
0.425 0.575 0.750
0.575 0.425 0.250
0.009 0.009 0.500
0.019 0.641 0.005
0.036 0.638 0.511
0.175 0.191 0.150
0.191 0.175 0.850
0.202 0.524 0.358
0.359 0.981 0.495
0.362 0.964 0.989
0.476 0.798 0.142
0.524 0.202 0.642
0.638 0.036 0.489
0.641 0.019 0.995
0.798 0.476 0.858
0.809 0.825 0.350
0.825 0.809 0.650
0.964 0.362 0.011
0.981 0.359 0.505
0.991 0.991 0.000
```

(4)
For BaB2CI, a crystal structure in Alexandria, relaxed with PBE gives the computed powder diffractogram in this record (Cu Kα, 1.54184 Å).

Peak list (12 most intense, 5° ≤ 2θ ≤ 70°, in order of rising 2θ)
- 5.950 Å, intensity 100
- 3.086 Å, intensity 52
- 2.975 Å, intensity 31
- 2.739 Å, intensity 82
- 2.182 Å, intensity 25
- 2.142 Å, intensity 37
- 2.048 Å, intensity 28
- 1.759 Å, intensity 25
- 1.668 Å, intensity 18
- 1.493 Å, intensity 10
- 1.370 Å, intensity 11
- 1.344 Å, intensity 18

Structure:
```
BaB2CI
1.0
4.364 0.000 0.000
0.000 4.364 0.000
0.000 0.000 5.950
Ba B C I
1 2 1 1
Direct
0.000 0.000 0.000
0.000 0.500 0.500
0.500 0.000 0.500
0.000 0.000 0.500
0.500 0.500 0.000
```

(5)
For Ba5B3CNO9, a crystal structure in Alexandria, relaxed with PBE gives the computed powder diffractogram in this record (Cu Kα, 1.54184 Å).

Peak list (12 most intense, 5° ≤ 2θ ≤ 70°, in order of rising 2θ)
- 3.949 Å, intensity 69
- 3.662 Å, intensity 62
- 3.434 Å, intensity 46
- 3.212 Å, intensity 100
- 3.161 Å, intensity 49
- 3.062 Å, intensity 53
- 3.015 Å, intensity 86
- 2.884 Å, intensity 56
- 2.864 Å, intensity 52
- 1.973 Å, intensity 41
- 1.907 Å, intensity 60
- 1.832 Å, intensity 53

Structure:
```
Ba5B3CNO9
1.0
5.291 -7.511 0.000
5.291 7.511 0.000
0.000 0.000 8.084
Ba B C N O
10 6 2 2 18
Direct
0.138 0.862 0.750
0.146 0.854 0.250
0.235 0.493 0.566
0.258 0.258 0.000
0.493 0.235 0.434
0.507 0.765 0.934
0.742 0.742 0.500
0.765 0.507 0.066
0.854 0.146 0.750
0.862 0.138 0.250
0.095 0.514 0.969
0.127 0.127 0.500
0.486 0.905 0.531
0.514 0.095 0.031
0.873 0.873 0.000
0.905 0.486 0.469
0.385 0.615 0.250
0.615 0.385 0.750
0.464 0.536 0.250
0.536 0.464 0.750
0.006 0.006 0.000
0.009 0.632 0.511
0.062 0.648 0.008
0.190 0.192 0.349
0.192 0.190 0.651
0.230 0.526 0.884
0.352 0.938 0.492
0.368 0.991 0.989
0.474 0.770 0.616
0.526 0.230 0.116
0.632 0.009 0.489
0.648 0.062 0.992
0.770 0.474 0.384
0.808 0.810 0.151
0.810 0.808 0.849
0.938 0.352 0.508
0.991 0.368 0.011
0.994 0.994 0.500
```